[1]
# BaLi2ZrCl8
Theoretical X-ray diffraction stick pattern, Cu Kα, 1.54184 Å. Input: a cell relaxed with PBE.

Most intense lines, 5 to 70 degrees two-theta, sorted by position:
14.24 deg, d = 6.220 Å, I = 100; 18.60 deg, d = 4.772 Å, I = 42; 20.07 deg, d = 4.424 Å, I = 29; 24.70 deg, d = 3.605 Å, I = 36; 29.71 deg, d = 3.007 Å, I = 86; 30.13 deg, d = 2.966 Å, I = 38

Crystal structure
abc: 6.2835 6.2998 8.8476
angles: 89.91 89.91 81.35
Atoms (fractional coordinates):
Ba (0.0000, 0.0000, 0.0000)
Li (0.4997, 0.4997, 0.1891)
Li (0.5003, 0.5003, 0.8109)
Zr (0.0000, 0.0000, 0.5000)
Cl (0.2242, 0.7942, 0.7064)
Cl (0.2249, 0.7949, 0.2936)
Cl (0.2411, 0.2651, 0.4999)
Cl (0.3135, 0.3289, 0.0001)
Cl (0.6865, 0.6711, 0.9999)
Cl (0.7589, 0.7349, 0.5001)
Cl (0.7751, 0.2051, 0.7064)
Cl (0.7758, 0.2058, 0.2936)

***

[2]
# LaEr3Tm3
Theoretical X-ray diffraction stick pattern, Cu Kα, 1.54184 Å. Input: a cell relaxed with PBE.

Most intense lines, 5 to 70 degrees two-theta, sorted by position:
27.23 deg, d = 3.275 Å, I = 25; 29.15 deg, d = 3.064 Å, I = 66; 30.96 deg, d = 2.889 Å, I = 90; 34.32 deg, d = 2.613 Å, I = 100; 37.42 deg, d = 2.403 Å, I = 63; 56.17 deg, d = 1.638 Å, I = 26

Crystal structure
abc: 10.6131 10.6131 10.6131
angles: 109.47 109.47 109.47
Atoms (fractional coordinates):
La (0.0000, 0.0000, 0.2586)
La (0.0000, 0.2586, 0.0000)
La (0.2586, 0.0000, 0.0000)
La (0.7414, 0.7414, 0.7414)
Er (0.0000, 0.3017, 0.5686)
Er (0.0000, 0.5686, 0.3017)
Er (0.2668, 0.6983, 0.6983)
Er (0.3017, 0.0000, 0.5686)
Er (0.3017, 0.5686, 0.0000)
Er (0.4314, 0.4314, 0.7332)
Er (0.4314, 0.7332, 0.4314)
Er (0.5686, 0.0000, 0.3017)
Er (0.5686, 0.3017, 0.0000)
Er (0.6983, 0.2668, 0.6983)
Er (0.6983, 0.6983, 0.2668)
Er (0.7332, 0.4314, 0.4314)
Tm (0.0000, 0.6106, 0.8058)
Tm (0.0000, 0.8058, 0.6106)
Tm (0.1942, 0.1942, 0.8048)
Tm (0.1942, 0.8048, 0.1942)
Tm (0.1952, 0.3894, 0.3894)
Tm (0.3894, 0.1952, 0.3894)
Tm (0.3894, 0.3894, 0.1952)
Tm (0.6106, 0.0000, 0.8058)
Tm (0.6106, 0.8058, 0.0000)
Tm (0.8048, 0.1942, 0.1942)
Tm (0.8058, 0.0000, 0.6106)
Tm (0.8058, 0.6106, 0.0000)